Computed powder diffractogram
Compound: V9PO25
Radiation: Cu Kα (λ = 1.5418 Å)
Structure: a crystal structure in Alexandria, relaxed with PBE+U
No peak broadening, texture or thermal motion is included.

Structure:
a b c (Å): 15.1084 15.1084 3.6413
angles (deg): 90.00 90.00 90.00
Space group I-4 (No. 82)
Unique sites:
V 0.0000 0.0000 0.0000 (multiplicity 2)
V 0.1125 0.7857 0.9906 (multiplicity 8)
V 0.1153 0.3331 0.9883 (multiplicity 8)
P 0.0000 0.5000 0.2500 (multiplicity 2)
O 0.0000 0.0000 0.5000 (multiplicity 2)
O 0.0186 0.2835 0.9881 (multiplicity 8)
O 0.0481 0.5719 0.4771 (multiplicity 8)
O 0.0520 0.8838 0.9952 (multiplicity 8)
O 0.1078 0.7505 0.4884 (multiplicity 8)
O 0.1479 0.3437 0.5104 (multiplicity 8)
O 0.1766 0.2178 0.0165 (multiplicity 8)

Principal peaks in the range 2θ = 10–80°, by intensity:
| h k l | 2θ/deg | intensity |
| --- | --- | --- |
| 4 2 0 | 26.4 | 100 |
| 1 0 1 | 25.2 | 52 |
| 3 2 1 | 32.6 | 37 |
| 7 3 0 | 45.7 | 34 |
| 3 1 0 | 18.6 | 31 |
| 7 4 1 | 55.1 | 25 |
| 2 1 1 | 27.8 | 23 |
| 0 0 2 | 50.1 | 19 |
| 7 3 2 | 70.2 | 16 |
| 4 2 2 | 57.5 | 14 |